Starting from DFT lattice parameters and positions (PBE+U), the PXRD pattern of Cs4Co3F10 was calculated for Cu Kα, 1.54184 Å.
Neutral-atom scattering factors, no anomalous dispersion.

Principal peaks in the range 2θ = 10–80°, in order of rising 2θ:
hkl 0 0 4, 2θ 25.3, I 29
hkl 1 3 2, 2θ 26.3, I 100
hkl 2 0 0, 2θ 28.3, I 40
hkl 1 3 3, 2θ 29.9, I 21
hkl 0 6 1, 2θ 37.3, I 14
hkl 2 4 0, 2θ 37.6, I 18
hkl 2 0 4, 2θ 38.3, I 35
hkl 1 3 6, 2θ 45.1, I 17
hkl 1 7 2, 2θ 47.4, I 16
hkl 3 3 2, 2θ 48.9, I 16

Cell and atoms:
abc: 6.303 14.699 14.102
angles: 90.00 90.00 90.00
Space group Cmce (No. 64)
Unique sites:
Cs 0.000 0.045 0.139 x8
Cs 0.000 0.246 0.391 x8
Co 0.000 0.000 0.500 x4
Co 0.000 0.120 0.655 x8
F 0.000 0.026 0.355 x8
F 0.000 0.247 0.146 x8
F 0.215 0.099 0.538 x16
F 0.250 0.113 0.750 x8